[1]
Structure and simulated powder diffractogram of UB4Os4 (a GGA-PBE-relaxed structure; CuKα).
Intensities are scaled so that the largest is 100.

Crystal structure
```
data_UB4Os4
_chemical_formula_sum 'U8 B32 Os32'
_cell_length_a 7.5475
_cell_length_b 7.5475
_cell_length_c 15.1230
_cell_angle_alpha 90.00
_cell_angle_beta 90.00
_cell_angle_gamma 90.00
_symmetry_space_group_name_H-M 'I 41/a c d'
_symmetry_Int_Tables_number 142
loop_
_symmetry_equiv_pos_as_xyz
'x,y,z'
'-x,-y,-z'
'-y+1/4,x+3/4,z+1/4'
'y+1/4,-x+3/4,-z+1/4'
'-x+1/2,-y,z+1/2'
'x+1/2,y,-z+1/2'
'y+1/4,-x+1/4,z+3/4'
'-y+1/4,x+1/4,-z+3/4'
'x,-y,-z+1/2'
'-x,y,z+1/2'
'-y+1/4,-x+1/4,-z+1/4'
'y+1/4,x+1/4,z+1/4'
'-x+1/2,y,-z'
'x+1/2,-y,z'
'y+1/4,x+3/4,-z+3/4'
'-y+1/4,-x+3/4,z+3/4'
'x+1/2,y+1/2,z+1/2'
'-x+1/2,-y+1/2,-z+1/2'
'-y+3/4,x+1/4,z+3/4'
'y+3/4,-x+1/4,-z+3/4'
'-x,-y+1/2,z'
'x,y+1/2,-z'
'y+3/4,-x+3/4,z+1/4'
'-y+3/4,x+3/4,-z+1/4'
'x+1/2,-y+1/2,-z'
'-x+1/2,y+1/2,z'
'-y+3/4,-x+3/4,-z+3/4'
'y+3/4,x+3/4,z+3/4'
'-x,y+1/2,-z+1/2'
'x,-y+1/2,z+1/2'
'y+3/4,x+1/4,-z+1/4'
'-y+3/4,-x+1/4,z+1/4'
loop_
_atom_site_label
_atom_site_fract_x
_atom_site_fract_y
_atom_site_fract_z
_atom_site_occupancy
U1 0.0000 0.2500 0.1250 1
B1 0.1431 0.0804 0.2926 1
Os1 0.1131 0.0993 0.4374 1
```

Peak list (10 most intense, 2θ = 10–90°, by angle)
Position (°2θ)  d (Å)  I/Imax  (hkl)
23.55  3.777  11  0 0 4
31.91  2.805  58  2 1 3
33.56  2.670  16  2 0 4
39.58  2.277  100  3 1 2
40.03  2.253  34  2 1 5
43.65  2.074  12  3 2 1
48.19  1.888  13  0 0 8
54.32  1.689  13  4 2 0
64.03  1.454  16  3 3 6
70.54  1.335  29  4 0 8

[2]
Structure and simulated powder diffractogram of VB4Os (a GGA-PBE-relaxed structure; CuKα).
Intensities are scaled so that the largest is 100.

Crystal structure
```
data_VB4Os
_chemical_formula_sum 'V1 B4 Os1'
_cell_length_a 2.8775
_cell_length_b 2.8775
_cell_length_c 7.4537
_cell_angle_alpha 90.00
_cell_angle_beta 90.00
_cell_angle_gamma 120.00
_symmetry_space_group_name_H-M 'P -6 m 2'
_symmetry_Int_Tables_number 187
_symmetry_space_group_name_Hall 'P -6 2'
loop_
_atom_site_label
_atom_site_fract_x
_atom_site_fract_y
_atom_site_fract_z
_atom_site_occupancy
V1 0.0000 0.0000 0.0000 1
B1 0.0000 0.0000 0.2905 1
B2 0.3333 0.6667 0.2031 1
Os1 0.3333 0.6667 0.5000 1
```

Peak list (10 most intense, 2θ = 10–90°, by angle)
Position (°2θ)  d (Å)  I/Imax  (hkl)
11.87  7.454  100  0 0 1
23.88  3.727  51  0 0 2
36.04  2.492  40  1 0 0
38.08  2.363  95  1 0 1
43.70  2.072  38  1 0 2
51.97  1.759  48  1 0 3
62.21  1.492  17  1 0 4
64.80  1.439  16  1 1 0
70.11  1.342  16  1 1 2
85.21  1.139  13  1 1 4

[3]
Structure and simulated powder diffractogram of YB2Os (a GGA-PBE-relaxed structure; CuKα).
Intensities are scaled so that the largest is 100.

Crystal structure
```
data_YB2Os
_chemical_formula_sum 'Y4 B8 Os4'
_cell_length_a 5.9147
_cell_length_b 5.3329
_cell_length_c 6.3912
_cell_angle_alpha 90.00
_cell_angle_beta 90.00
_cell_angle_gamma 90.00
_symmetry_space_group_name_H-M 'P n m a'
_symmetry_Int_Tables_number 62
loop_
_symmetry_equiv_pos_as_xyz
'x,y,z'
'-x,-y,-z'
'-x+1/2,-y,z+1/2'
'x+1/2,y,-z+1/2'
'x+1/2,-y+1/2,-z+1/2'
'-x+1/2,y+1/2,z+1/2'
'-x,y+1/2,-z'
'x,-y+1/2,z'
loop_
_atom_site_label
_atom_site_fract_x
_atom_site_fract_y
_atom_site_fract_z
_atom_site_occupancy
Y1 0.0108 0.2500 0.1646 1
B1 0.1361 0.5821 0.4601 1
Os1 0.1758 0.2500 0.6818 1
```

Peak list (10 most intense, 2θ = 10–90°, by angle)
Position (°2θ)  d (Å)  I/Imax  (hkl)
21.70  4.095  53  0 1 1
27.92  3.196  38  0 0 2
31.83  2.811  38  1 0 2
33.39  2.684  32  2 0 1
33.61  2.666  76  0 2 0
34.68  2.586  46  2 1 0
36.12  2.487  73  1 1 2
37.51  2.397  100  2 1 1
48.52  1.876  38  1 1 3
62.69  1.482  39  2 3 1